Structure and theoretical PXRD pattern of Rb4MgFe4O8 (DFT lattice parameters and positions (GGA+U); a wavelength of 1.5418 Å).
Lines closer than 0.1° are merged.

Main lines, most intense first (2θ = 10–80°):
- 2θ 28.92, rel. 100, hkl 0 2 0
- 2θ 29.60, rel. 99, hkl 2 0 0
- 2θ 30.44, rel. 99, hkl 1 1 -2
- 2θ 30.14, rel. 89, hkl -1 1 2
- 2θ 29.77, rel. 54, hkl 1 1 2
- 2θ 30.26, rel. 52, hkl 1 -1 2
- 2θ 26.22, rel. 47, hkl 1 0 2
- 2θ 32.95, rel. 40, hkl 2 1 0

Structure:
Cell: 6.0358 6.1752 8.1572 Å, 88.95 89.28 89.62°
Space group P1 (No. 1)
Asymmetric unit:
Rb 0.0000 0.0000 0.0000 (multiplicity 1)
Rb 0.0298 0.5354 0.2759 (multiplicity 1)
Rb 0.3832 0.0439 0.6865 (multiplicity 1)
Rb 0.5658 0.5645 0.5369 (multiplicity 1)
Mg 0.5790 0.3350 0.9744 (multiplicity 1)
Fe 0.0299 0.5236 0.7753 (multiplicity 1)
Fe 0.4476 0.1349 0.2659 (multiplicity 1)
Fe 0.5190 0.7179 0.0194 (multiplicity 1)
Fe 0.9331 0.0247 0.5103 (multiplicity 1)
O 0.0259 0.7520 0.5941 (multiplicity 1)
O 0.1511 0.0958 0.3386 (multiplicity 1)
O 0.3533 0.5333 0.8662 (multiplicity 1)
O 0.4977 0.4292 0.2081 (multiplicity 1)
O 0.5086 0.0319 0.0372 (multiplicity 1)
O 0.6454 0.9983 0.4120 (multiplicity 1)
O 0.8187 0.5519 0.9671 (multiplicity 1)
O 0.9139 0.2323 0.6793 (multiplicity 1)